1.
Diffraction record for MgNb2In2O8. The powder diffractogram is calculated, not measured: it uses a GGA-PBE-relaxed structure and λ = 1.5418 Å (Cu Kα).
Peak positions follow from Bragg's law for the DFT cell and can differ from measured ones.

The 10 most intense peaks (2θ = 5–70°), low angle first:
- (0 1 1), 21.37°, I 46
- (1 1 -1), 26.91°, I 100
- (1 1 1), 27.51°, I 91
- (0 2 0), 28.46°, I 23
- (0 0 2), 32.25°, I 27
- (1 2 0), 33.15°, I 38
- (2 0 0), 33.66°, I 32
- (0 3 1), 46.40°, I 25
- (2 0 -2), 46.55°, I 45
- (1 2 2), 47.30°, I 33

Structural model:
```
13
Lattice="5.3278 0.0000 0.0000 0.0000 6.2731 0.0000 -0.1650 0.0000 5.5508" Properties=species:S:1:pos:R:3 pbc="T T T"
Mg 0.0000 0.0000 0.0000
Nb 0.0000 3.4083 0.0000
Nb 2.6639 1.3954 0.0000
In -0.0825 0.3976 2.7754
In 2.5814 4.2787 2.7754
O 0.5149 4.7284 1.2675
O 0.9313 1.4680 1.1767
O 1.5001 0.2339 4.3091
O 1.5222 2.9420 4.6574
O 3.6406 2.9420 0.8934
O 3.6627 0.2339 1.2417
O 4.2314 1.4680 4.3741
O 4.6478 4.7284 4.2833
```

=====

2.
Diffraction record for MgNb2In2O8. The powder diffractogram is calculated, not measured: it uses a GGA-PBE-relaxed structure and λ = 1.5418 Å (Cu Kα).
Peak positions follow from Bragg's law for the DFT cell and can differ from measured ones.

The 10 most intense peaks (2θ = 5–70°), low angle first:
- (0 1 1), 21.65°, I 68
- (1 1 -1), 26.98°, I 100
- (1 1 1), 28.07°, I 94
- (1 2 0), 32.65°, I 56
- (0 0 2), 33.57°, I 27
- (2 0 0), 33.97°, I 36
- (0 3 1), 45.69°, I 34
- (1 2 -2), 46.84°, I 37
- (2 0 -2), 47.14°, I 22
- (1 2 2), 48.21°, I 31

Structural model:
```
13
Lattice="5.2860 0.0000 0.0000 0.0000 6.4193 0.0000 -0.2787 0.0000 5.3394" Properties=species:S:1:pos:R:3 pbc="T T T"
Mg 0.0000 0.0000 0.0000
Nb -0.1394 5.6846 2.6697
Nb 2.5036 1.6343 2.6697
In 0.0000 2.7728 0.0000
In 2.6430 4.6095 0.0000
O 0.7645 4.6799 1.2695
O 0.9236 0.8739 1.7768
O 1.2987 6.0438 4.0819
O 1.9066 2.8461 3.9544
O 3.1007 2.8461 1.3850
O 3.7086 6.0438 1.2575
O 4.0837 0.8739 3.5627
O 4.2428 4.6799 4.0699
```

=====

3.
Diffraction record for MgNb2In2O8. The powder diffractogram is calculated, not measured: it uses a GGA-PBE-relaxed structure and λ = 1.5418 Å (Cu Kα).
Peak positions follow from Bragg's law for the DFT cell and can differ from measured ones.

The 10 most intense peaks (2θ = 5–70°), low angle first:
- (0 0 1), 13.13°, I 45
- (1 0 1), 20.77°, I 48
- (1 1 1), 24.98°, I 47
- (1 1 -1), 26.11°, I 88
- (0 0 2), 26.45°, I 66
- (1 -1 1), 28.40°, I 64
- (-1 1 1), 29.36°, I 100
- (1 1 2), 33.68°, I 41
- (1 2 0), 35.36°, I 39
- (0 2 -1), 36.33°, I 67

Structural model:
```
13
Lattice="5.3362 0.0000 0.0000 0.8468 5.3211 0.0000 0.4244 0.0100 6.7406" Properties=species:S:1:pos:R:3 pbc="T T T"
Mg 0.0000 0.0000 0.0000
Nb 2.5145 3.9935 3.5794
Nb 2.2212 1.2318 1.6095
In 4.4917 3.1486 0.2384
In 4.7039 1.4668 3.8171
O 1.3547 5.1275 4.6892
O 1.1934 2.4220 3.1236
O 0.9734 1.7240 0.2932
O 1.9588 4.8467 1.7248
O 3.5623 3.0070 4.8264
O 3.0686 0.1000 3.2488
O 3.6004 2.6353 2.2728
O 3.5973 0.9243 0.3255
```